Simulated powder diffractogram of Np2NbAs4 for Cu Ka, from a cell relaxed with GGA-PBE.
Intensities are scaled so that the largest is 100.

Main lines, low angle first (2θ from 5° to 70°):
2θ = 17.1°, I 19; 2θ = 24.7°, I 55; 2θ = 28.9°, I 33; 2θ = 32.9°, I 16; 2θ = 34.5°, I 15; 2θ = 34.9°, I 34; 2θ = 37.3°, I 100; 2θ = 42.0°, I 25; 2θ = 47.3°, I 33; 2θ = 60.0°, I 15

Structural model:
```
Np2NbAs4
1.0
3.8471 0.0000 0.0000
0.0000 3.8471 0.0000
0.0000 0.0000 10.3894
Np Nb As
2 1 4
Direct
0.0000 0.5000 0.2217
0.5000 0.0000 0.7783
0.0000 0.0000 0.5000
0.0000 0.0000 0.0000
0.0000 0.5000 0.6672
0.5000 0.0000 0.3328
0.5000 0.5000 0.0000
```